Diffraction record for HgWO4. The X-ray diffraction stick pattern is theoretical, not measured: it uses a PBE+U-relaxed structure and copper Kα.
Lines closer than 0.1° are merged.

Largest 8 diffraction maxima, low angle first, 2θ from 10° to 90°:
27.3°, I = 46
28.1°, I = 100
28.3°, I = 48
29.6°, I = 68
30.0°, I = 57
30.7°, I = 50
30.9°, I = 29
34.9°, I = 34

Crystal structure
Cell: 6.821 7.453 14.237 Å, 90.00 117.60 90.00°
Atoms (fractional coordinates):
Hg  0.009  0.056  0.135
Hg  0.009  0.444  0.635
Hg  0.488  0.695  0.842
Hg  0.488  0.805  0.342
Hg  0.512  0.195  0.658
Hg  0.512  0.305  0.158
Hg  0.991  0.556  0.365
Hg  0.991  0.944  0.865
W  0.064  0.045  0.408
W  0.064  0.455  0.908
W  0.486  0.669  0.585
W  0.486  0.831  0.085
W  0.514  0.169  0.915
W  0.514  0.331  0.415
W  0.936  0.545  0.092
W  0.936  0.955  0.592
O  0.086  0.143  0.551
O  0.086  0.357  0.051
O  0.140  0.567  0.811
O  0.140  0.933  0.311
O  0.184  0.647  0.183
O  0.184  0.853  0.683
O  0.252  0.249  0.931
O  0.252  0.251  0.431
O  0.256  0.535  0.584
O  0.256  0.965  0.084
O  0.351  0.613  0.027
O  0.351  0.887  0.527
O  0.360  0.582  0.416
O  0.360  0.918  0.916
O  0.370  0.219  0.773
O  0.370  0.281  0.273
O  0.630  0.719  0.727
O  0.630  0.781  0.227
O  0.640  0.082  0.084
O  0.640  0.418  0.584
O  0.649  0.113  0.473
O  0.649  0.387  0.973
O  0.744  0.035  0.916
O  0.744  0.465  0.416
O  0.748  0.749  0.569
O  0.748  0.751  0.069
O  0.816  0.147  0.317
O  0.816  0.353  0.817
O  0.860  0.067  0.689
O  0.860  0.433  0.189
O  0.914  0.643  0.949
O  0.914  0.857  0.449